Ba8Pt3S: simulated powder diffraction line list (copper Kα), based on the GGA-PBE geometry in Alexandria.
Intensities are scaled so that the largest is 100.

Main lines, low angle first (15° ≤ 2θ ≤ 90°):
- 3.961 Å, intensity 21
- 3.791 Å, intensity 11
- 3.278 Å, intensity 100
- 2.519 Å, intensity 18
- 2.323 Å, intensity 40
- 2.313 Å, intensity 35
- 2.220 Å, intensity 16
- 1.895 Å, intensity 21
- 1.469 Å, intensity 12
- 1.341 Å, intensity 11

Atomic structure:
Cell lengths 15.982, 9.296, 9.262 Å; angles 90.00, 125.01, 90.00 degrees
Space group C2/m (No. 12)
Inequivalent atoms, fractional coordinates:
1 Ba 0.009 0.248 0.242
2 Ba 0.243 0.000 0.258
3 Ba 0.243 0.500 0.262
4 Pt 0.000 0.000 0.000
5 Pt 0.250 0.250 0.500
6 S 0.000 0.500 0.000



GdHfPt2: simulated powder diffraction line list (copper Kα), based on the GGA-PBE geometry in Alexandria.
Intensities are scaled so that the largest is 100.

Main lines, low angle first (15° ≤ 2θ ≤ 90°):
- 2.463 Å, intensity 54
- 2.393 Å, intensity 100
- 1.742 Å, intensity 19
- 1.646 Å, intensity 8
- 1.408 Å, intensity 38
- 1.369 Å, intensity 17
- 1.232 Å, intensity 6
- 1.196 Å, intensity 11
- 1.102 Å, intensity 9
- 1.095 Å, intensity 9

Atomic structure:
Cell lengths 4.926, 4.926, 3.293 Å; angles 90.00, 90.00, 90.00 degrees
Space group P4/mmm (No. 123)
Inequivalent atoms, fractional coordinates:
1 Gd 0.000 0.000 0.000
2 Hf 0.500 0.500 0.000
3 Pt 0.000 0.500 0.500



K2Li2TeO6: simulated powder diffraction line list (copper Kα), based on the GGA-PBE geometry in Alexandria.
Intensities are scaled so that the largest is 100.

Main lines, low angle first (15° ≤ 2θ ≤ 90°):
- 4.702 Å, intensity 26
- 3.720 Å, intensity 100
- 2.715 Å, intensity 22
- 2.193 Å, intensity 19
- 2.025 Å, intensity 40
- 1.861 Å, intensity 15
- 1.706 Å, intensity 18
- 1.567 Å, intensity 11
- 1.535 Å, intensity 12
- 1.336 Å, intensity 9

Atomic structure:
Cell lengths 5.4295, 5.4295, 6.0810 Å; angles 90.00, 90.00, 120.00 degrees
Space group P-31m (No. 162)
Inequivalent atoms, fractional coordinates:
1 K 0.3333 0.6667 0.0000
2 Li 0.3333 0.6667 0.5000
3 Te 0.0000 0.0000 0.5000
4 O 0.0000 0.2985 0.3235



PmPu2Zn2Ge2: simulated powder diffraction line list (copper Kα), based on the GGA-PBE geometry in Alexandria.
Intensities are scaled so that the largest is 100.

Main lines, low angle first (15° ≤ 2θ ≤ 90°):
- 4.601 Å, intensity 16
- 3.511 Å, intensity 28
- 2.980 Å, intensity 16
- 2.634 Å, intensity 100
- 2.301 Å, intensity 14
- 2.044 Å, intensity 68
- 1.615 Å, intensity 23
- 1.528 Å, intensity 24
- 1.344 Å, intensity 13
- 1.267 Å, intensity 21

Atomic structure:
Cell lengths 4.0877, 4.0877, 27.6079 Å; angles 90.00, 90.00, 120.00 degrees
Space group R-3m (No. 166, hexagonal axes)
Inequivalent atoms, fractional coordinates:
1 Pm 0.0000 0.0000 0.0000
2 Pu 0.0000 0.0000 0.1525
3 Zn 0.0000 0.0000 0.4160
4 Ge 0.0000 0.0000 0.2615



RbPCl: simulated powder diffraction line list (copper Kα), based on the GGA-PBE geometry in Alexandria.
Intensities are scaled so that the largest is 100.

Main lines, low angle first (15° ≤ 2θ ≤ 90°):
- 4.319 Å, intensity 100
- 4.065 Å, intensity 51
- 3.543 Å, intensity 32
- 3.462 Å, intensity 32
- 3.211 Å, intensity 50
- 3.073 Å, intensity 68
- 2.760 Å, intensity 66
- 2.723 Å, intensity 36
- 2.621 Å, intensity 42
- 2.026 Å, intensity 29

Atomic structure:
Cell lengths 9.284, 5.449, 9.673 Å; angles 90.00, 96.84, 90.00 degrees
Space group P2_1/c (No. 14)
Inequivalent atoms, fractional coordinates:
1 Rb 0.183 0.083 0.181
2 P 0.462 0.648 0.035
3 Cl 0.173 0.584 0.358



YTcB14: simulated powder diffraction line list (copper Kα), based on the GGA-PBE geometry in Alexandria.
Intensities are scaled so that the largest is 100.

Main lines, low angle first (15° ≤ 2θ ≤ 90°):
- 5.398 Å, intensity 100
- 3.581 Å, intensity 34
- 3.218 Å, intensity 31
- 2.684 Å, intensity 82
- 2.657 Å, intensity 41
- 2.460 Å, intensity 29
- 2.257 Å, intensity 31
- 2.196 Å, intensity 69
- 2.188 Å, intensity 28
- 2.181 Å, intensity 35

Atomic structure:
Cell lengths 5.887, 10.796, 8.224 Å; angles 90.00, 90.00, 90.00 degrees
Space group Imma (No. 74)
Inequivalent atoms, fractional coordinates:
1 Y 0.000 0.250 0.126
2 Tc 0.250 0.250 0.750
3 B 0.000 0.083 0.670
4 B 0.000 0.122 0.870
5 B 0.000 0.167 0.465
6 B 0.161 0.063 0.338
7 B 0.246 0.078 0.548



CsBa2IrO6: simulated powder diffraction line list (copper Kα), based on the GGA-PBE geometry in Alexandria.
Intensities are scaled so that the largest is 100.

Main lines, low angle first (15° ≤ 2θ ≤ 90°):
- 5.409 Å, intensity 17
- 3.353 Å, intensity 100
- 3.131 Å, intensity 78
- 2.288 Å, intensity 36
- 1.936 Å, intensity 24
- 1.890 Å, intensity 41
- 1.676 Å, intensity 13
- 1.478 Å, intensity 17
- 1.418 Å, intensity 12
- 1.267 Å, intensity 13

Atomic structure:
Cell lengths 6.7055, 6.7055, 14.8675 Å; angles 90.00, 90.00, 120.00 degrees
Space group R-3 (No. 148, hexagonal axes)
Inequivalent atoms, fractional coordinates:
1 Cs 0.0000 0.0000 0.0000
2 Ba 0.0000 0.0000 0.2700
3 Ir 0.0000 0.0000 0.5000
4 O 0.0024 0.2349 0.5762



Tb6IrRh5: simulated powder diffraction line list (copper Kα), based on the GGA-PBE geometry in Alexandria.
Intensities are scaled so that the largest is 100.

Main lines, low angle first (15° ≤ 2θ ≤ 90°):
- 3.425 Å, intensity 2
- 2.440 Å, intensity 100
- 2.422 Å, intensity 49
- 1.739 Å, intensity 9
- 1.712 Å, intensity 17
- 1.412 Å, intensity 18
- 1.402 Å, intensity 35
- 1.220 Å, intensity 11
- 1.211 Å, intensity 5
- 1.098 Å, intensity 8

Atomic structure:
Cell lengths 4.842, 14.534, 6.955 Å; angles 90.00, 90.00, 90.00 degrees
Space group Cmmm (No. 65)
Inequivalent atoms, fractional coordinates:
1 Tb 0.000 0.000 0.249
2 Tb 0.000 0.334 0.250
3 Ir 0.000 0.500 0.000
4 Rh 0.000 0.166 0.500
5 Rh 0.000 0.169 0.000
6 Rh 0.000 0.500 0.500



Th2Ga3Au: simulated powder diffraction line list (copper Kα), based on the GGA-PBE geometry in Alexandria.
Intensities are scaled so that the largest is 100.

Main lines, low angle first (15° ≤ 2θ ≤ 90°):
- 3.794 Å, intensity 14
- 2.796 Å, intensity 100
- 2.191 Å, intensity 44
- 2.068 Å, intensity 12
- 1.724 Å, intensity 24
- 1.504 Å, intensity 27
- 1.355 Å, intensity 22
- 1.296 Å, intensity 10
- 1.265 Å, intensity 8
- 1.115 Å, intensity 6

Atomic structure:
Cell lengths 8.272, 8.761, 15.179 Å; angles 90.00, 90.00, 90.00 degrees
Space group Fmmm (No. 69)
Inequivalent atoms, fractional coordinates:
1 Th 0.245 0.000 0.000
2 Th 0.250 0.250 0.250
3 Ga 0.000 0.000 0.337
4 Ga 0.000 0.245 0.418
5 Au 0.000 0.000 0.168



KSrTlCl4: simulated powder diffraction line list (copper Kα), based on the GGA-PBE geometry in Alexandria.
Intensities are scaled so that the largest is 100.

Main lines, low angle first (15° ≤ 2θ ≤ 90°):
- 5.326 Å, intensity 47
- 3.986 Å, intensity 80
- 3.905 Å, intensity 80
- 3.578 Å, intensity 40
- 2.845 Å, intensity 29
- 2.817 Å, intensity 100
- 2.285 Å, intensity 41
- 2.239 Å, intensity 23
- 1.992 Å, intensity 47
- 1.952 Å, intensity 34

Atomic structure:
Cell lengths 5.637, 5.637, 16.242 Å; angles 90.00, 90.00, 90.00 degrees
Space group I4mm (No. 107)
Inequivalent atoms, fractional coordinates:
1 K 0.000 0.000 0.000
2 Sr 0.000 0.000 0.363
3 Tl 0.000 0.000 0.714
4 Cl 0.000 0.000 0.188
5 Cl 0.000 0.000 0.542
6 Cl 0.000 0.500 0.377



HfCdHg2: simulated powder diffraction line list (copper Kα), based on the GGA-PBE geometry in Alexandria.
Intensities are scaled so that the largest is 100.

Main lines, low angle first (15° ≤ 2θ ≤ 90°):
- 3.286 Å, intensity 2
- 2.536 Å, intensity 100
- 2.323 Å, intensity 39
- 1.994 Å, intensity 12
- 1.643 Å, intensity 13
- 1.513 Å, intensity 21
- 1.379 Å, intensity 30
- 1.268 Å, intensity 12
- 1.232 Å, intensity 11
- 1.162 Å, intensity 4

Atomic structure:
Cell lengths 4.647, 4.647, 3.988 Å; angles 90.00, 90.00, 90.00 degrees
Space group P4/mmm (No. 123)
Inequivalent atoms, fractional coordinates:
1 Hf 0.000 0.000 0.000
2 Cd 0.500 0.500 0.000
3 Hg 0.000 0.500 0.500



ErBiPb2O5: simulated powder diffraction line list (copper Kα), based on the GGA-PBE geometry in Alexandria.
Intensities are scaled so that the largest is 100.

Main lines, low angle first (15° ≤ 2θ ≤ 90°):
- 3.685 Å, intensity 48
- 3.329 Å, intensity 65
- 3.272 Å, intensity 20
- 3.116 Å, intensity 100
- 2.955 Å, intensity 38
- 2.798 Å, intensity 51
- 2.750 Å, intensity 37
- 1.966 Å, intensity 20
- 1.932 Å, intensity 21
- 1.833 Å, intensity 20

Atomic structure:
Cell lengths 3.666, 13.767, 13.088 Å; angles 90.00, 90.00, 90.00 degrees
Space group Cmc2_1 (No. 36)
Inequivalent atoms, fractional coordinates:
1 Er 0.000 0.228 0.000
2 Bi 0.000 0.049 0.444
3 Pb 0.000 0.323 0.271
4 Pb 0.000 0.428 0.673
5 O 0.000 0.062 0.071
6 O 0.000 0.121 0.866
7 O 0.000 0.217 0.404
8 O 0.000 0.282 0.608
9 O 0.000 0.400 0.024



UTa4Se8: simulated powder diffraction line list (copper Kα), based on the GGA-PBE geometry in Alexandria.
Intensities are scaled so that the largest is 100.

Main lines, low angle first (15° ≤ 2θ ≤ 90°):
- 5.280 Å, intensity 11
- 3.070 Å, intensity 14
- 2.640 Å, intensity 100
- 1.950 Å, intensity 41
- 1.794 Å, intensity 32
- 1.669 Å, intensity 8
- 1.484 Å, intensity 17
- 1.320 Å, intensity 11
- 1.222 Å, intensity 18
- 1.143 Å, intensity 15

Atomic structure:
Cell lengths 7.1754, 7.1754, 20.0328 Å; angles 90.00, 90.00, 120.00 degrees
Space group R-3m (No. 166, hexagonal axes)
Inequivalent atoms, fractional coordinates:
1 U 0.0000 0.0000 0.0000
2 Ta 0.0000 0.0000 0.5000
3 Ta 0.0000 0.5000 0.5000
4 Se 0.0000 0.0000 0.2471
5 Se 0.0148 0.5074 0.2484